(1)
Structure and computed powder diffractogram of Tl2InFe (a DFT-relaxed cell (GGA-PBE, Alexandria); a wavelength of 1.5418 Å).
No peak broadening, texture or thermal motion is included.

Peak list (10 most intense, 15° ≤ 2θ ≤ 90°, most intense first)
d = 3.253 Å, intensity 100, hkl 1 0 -2; d = 2.518 Å, intensity 83, hkl 1 1 0; d = 2.276 Å, intensity 31, hkl 2 0 -1; d = 1.886 Å, intensity 31, hkl 1 1 2; d = 2.830 Å, intensity 31, hkl 0 1 1; d = 2.315 Å, intensity 28, hkl 0 1 2; d = 2.325 Å, intensity 26, hkl 0 0 3; d = 1.624 Å, intensity 18, hkl 2 0 -4; d = 1.398 Å, intensity 17, hkl 1 2 -2; d = 1.773 Å, intensity 16, hkl 2 1 0

Atomic structure:
```
4
Lattice="4.552 0.000 0.000 0.000 3.096 0.000 -2.253 0.000 6.975" Properties=species:S:1:pos:R:3 pbc="T T T"
Tl 0.000 0.000 0.000
Tl 0.011 1.548 4.436
In 2.278 1.548 1.903
Fe 2.287 0.000 4.198
```

(2)
Structure and computed powder diffractogram of RbNaTcF6 (a DFT-relaxed cell (GGA-PBE, Alexandria); a wavelength of 1.5418 Å).
No peak broadening, texture or thermal motion is included.

Peak list (10 most intense, 15° ≤ 2θ ≤ 90°, most intense first)
d = 3.824 Å, intensity 100, hkl 1 0 2; d = 2.064 Å, intensity 48, hkl 1 1 4; d = 4.648 Å, intensity 47, hkl 1 0 1; d = 2.927 Å, intensity 26, hkl 1 1 0; d = 1.820 Å, intensity 22, hkl 2 1 2; d = 2.324 Å, intensity 20, hkl 2 0 2; d = 1.690 Å, intensity 15, hkl 3 0 0; d = 5.824 Å, intensity 14, hkl 0 0 2; d = 2.615 Å, intensity 12, hkl 1 1 2; d = 1.462 Å, intensity 10, hkl 2 2 0

Atomic structure:
```
18
Lattice="5.854 0.000 0.000 -2.927 5.070 0.000 0.000 0.000 11.648" Properties=species:S:1:pos:R:3 pbc="T T T"
Rb 0.000 0.000 0.000
Rb 0.000 0.000 5.824
Na 0.000 3.380 2.912
Na 2.927 1.690 8.736
Tc 0.000 3.380 8.736
Tc 2.927 1.690 2.912
F -0.878 2.007 7.625
F -1.628 3.305 9.848
F 0.878 2.007 9.848
F -0.750 4.827 7.625
F 2.177 0.243 1.801
F 1.299 1.764 4.023
F 1.628 3.305 7.625
F 0.750 4.827 9.848
F 3.677 0.243 4.023
F 2.049 3.063 1.801
F 4.555 1.764 1.801
F 3.805 3.063 4.023
```

(3)
Structure and computed powder diffractogram of LaTh2SiN5 (a DFT-relaxed cell (GGA-PBE, Alexandria); a wavelength of 1.5418 Å).
No peak broadening, texture or thermal motion is included.

Peak list (10 most intense, 15° ≤ 2θ ≤ 90°, most intense first)
d = 2.913 Å, intensity 100, hkl 2 0 1; d = 2.674 Å, intensity 89, hkl 2 1 1; d = 5.793 Å, intensity 54, hkl 0 0 1; d = 2.088 Å, intensity 52, hkl 2 1 2; d = 2.896 Å, intensity 44, hkl 0 0 2; d = 3.014 Å, intensity 43, hkl 2 1 0; d = 3.680 Å, intensity 29, hkl 1 1 1; d = 1.573 Å, intensity 28, hkl 4 1 1; d = 2.131 Å, intensity 26, hkl 3 1 0; d = 1.532 Å, intensity 22, hkl 3 3 1

Atomic structure:
```
18
Lattice="6.740 0.000 0.000 0.000 6.740 0.000 0.000 0.000 5.793" Properties=species:S:1:pos:R:3 pbc="T T T"
La 0.000 0.000 0.000
La 3.370 3.370 0.000
Th 1.206 2.164 2.896
Th 2.164 5.534 2.896
Th 4.576 1.206 2.896
Th 5.534 4.576 2.896
Si 0.000 3.370 0.000
Si 3.370 0.000 0.000
N 0.000 0.000 2.896
N 0.917 4.286 1.276
N 0.917 4.286 4.517
N 2.453 0.917 1.276
N 2.453 0.917 4.517
N 3.370 3.370 2.896
N 4.286 5.823 1.276
N 4.286 5.823 4.517
N 5.823 2.453 1.276
N 5.823 2.453 4.517
```